Record 1
For KNa6Al7Si9O32, the PBE geometry in the Materials Project gives the simulated powder diffractogram in this record (Cu Kα).
Intensities are scaled so that the largest is 100.

Atomic structure:
Lattice parameters (Å, degrees): 8.529 10.127 10.146 119.67 90.73 90.61
Element x y z (fractional)
K  0.000  0.000  0.000
Na  0.020  0.568  0.032
Na  0.034  0.429  0.420
Na  0.041  0.964  0.538
Na  0.518  0.974  0.445
Na  0.532  0.569  0.547
Na  0.542  0.451  0.014
Al  0.220  0.097  0.339
Al  0.260  0.642  0.321
Al  0.336  0.894  0.671
Al  0.685  0.326  0.659
Al  0.714  0.760  0.081
Al  0.715  0.306  0.217
Al  0.716  0.907  0.668
Si  0.219  0.635  0.756
Si  0.221  0.228  0.886
Si  0.343  0.756  0.084
Si  0.353  0.309  0.221
Si  0.390  0.319  0.663
Si  0.778  0.658  0.329
Si  0.841  0.100  0.344
Si  0.848  0.644  0.752
Si  0.854  0.235  0.880
O  0.023  0.061  0.366
O  0.034  0.606  0.694
O  0.041  0.297  0.916
O  0.062  0.560  0.281
O  0.207  0.046  0.780
O  0.213  0.701  0.941
O  0.218  0.230  0.273
O  0.278  0.819  0.479
O  0.304  0.469  0.666
O  0.304  0.643  0.152
O  0.308  0.281  0.050
O  0.313  0.748  0.716
O  0.314  0.932  0.207
O  0.320  0.166  0.514
O  0.323  0.318  0.817
O  0.357  0.495  0.334
O  0.519  0.719  0.017
O  0.525  0.244  0.221
O  0.526  0.965  0.700
O  0.714  0.816  0.464
O  0.715  0.507  0.330
O  0.745  0.489  0.650
O  0.746  0.157  0.502
O  0.751  0.641  0.162
O  0.754  0.949  0.209
O  0.762  0.344  0.831
O  0.778  0.254  0.035
O  0.782  0.777  0.723
O  0.849  0.233  0.296
O  0.850  0.699  0.933
O  0.857  0.057  0.747
O  0.968  0.694  0.385

Peak list (6 most intense, 2θ from 10° to 80°, low angle first)
two_theta  Rel. int.
20.83  100.0
22.82  60.0
26.78  85.6
28.85  78.8
29.22  62.7
29.46  65.7

***

Record 2
For KNa7Al8Si8O32, the PBE geometry in the Materials Project gives the simulated powder diffractogram in this record (Cu Kα).
Intensities are scaled so that the largest is 100.

Atomic structure:
Lattice parameters (Å, degrees): 8.501 10.089 10.099 60.09 89.98 89.94
Element x y z (fractional)
K  0.000  0.000  0.000
Na  0.490  0.007  0.551
Na  0.491  0.446  0.997
Na  0.491  0.553  0.448
Na  0.497  0.001  0.998
Na  0.990  0.448  0.557
Na  0.991  0.004  0.443
Na  0.991  0.556  0.997
Al  0.301  0.330  0.336
Al  0.306  0.762  0.906
Al  0.306  0.907  0.331
Al  0.308  0.329  0.761
Al  0.800  0.664  0.665
Al  0.806  0.239  0.093
Al  0.806  0.667  0.238
Al  0.809  0.091  0.669
Si  0.178  0.093  0.668
Si  0.180  0.239  0.095
Si  0.180  0.667  0.237
Si  0.194  0.664  0.665
Si  0.678  0.330  0.762
Si  0.679  0.762  0.904
Si  0.680  0.905  0.332
Si  0.694  0.330  0.336
O  0.001  0.019  0.694
O  0.001  0.291  0.029
O  0.001  0.682  0.289
O  0.004  0.649  0.668
O  0.173  0.229  0.713
O  0.174  0.714  0.057
O  0.175  0.059  0.228
O  0.229  0.159  0.490
O  0.242  0.492  0.346
O  0.244  0.348  0.161
O  0.248  0.828  0.522
O  0.252  0.649  0.827
O  0.270  0.525  0.646
O  0.301  0.258  0.959
O  0.301  0.783  0.256
O  0.303  0.961  0.782
O  0.501  0.303  0.715
O  0.501  0.711  0.972
O  0.501  0.972  0.318
O  0.504  0.317  0.351
O  0.673  0.944  0.773
O  0.674  0.284  0.942
O  0.674  0.774  0.282
O  0.728  0.509  0.650
O  0.740  0.654  0.836
O  0.742  0.838  0.507
O  0.747  0.352  0.171
O  0.752  0.476  0.352
O  0.770  0.172  0.474
O  0.801  0.041  0.219
O  0.801  0.740  0.040
O  0.804  0.220  0.739

Peak list (6 most intense, 2θ from 10° to 80°, low angle first)
two_theta  Rel. int.
20.90  43.2
22.87  75.7
26.97  54.8
29.30  100.0
30.67  44.8
37.83  43.2

***

Record 3
For K6Na3AlSb4, the PBE geometry in the Materials Project gives the simulated powder diffractogram in this record (Cu Kα).
Intensities are scaled so that the largest is 100.

Atomic structure:
Lattice parameters (Å, degrees): 10.292 10.292 10.596 90.00 90.00 120.00
Element x y z (fractional)
K  0.207  0.415  0.042
K  0.207  0.415  0.458
K  0.207  0.793  0.042
K  0.207  0.793  0.458
K  0.415  0.207  0.542
K  0.415  0.207  0.958
K  0.585  0.793  0.042
K  0.585  0.793  0.458
K  0.793  0.207  0.542
K  0.793  0.207  0.958
K  0.793  0.585  0.542
K  0.793  0.585  0.958
Na  0.116  0.232  0.750
Na  0.116  0.884  0.750
Na  0.232  0.116  0.250
Na  0.768  0.884  0.750
Na  0.884  0.116  0.250
Na  0.884  0.768  0.250
Al  0.333  0.667  0.750
Al  0.667  0.333  0.250
Sb  0.000  0.000  0.000
Sb  0.000  0.000  0.500
Sb  0.037  0.518  0.750
Sb  0.482  0.518  0.750
Sb  0.482  0.963  0.750
Sb  0.518  0.037  0.250
Sb  0.518  0.482  0.250
Sb  0.963  0.482  0.250

Peak list (6 most intense, 2θ from 10° to 80°, low angle first)
two_theta  Rel. int.
19.49  39.2
19.92  52.9
26.13  40.3
31.47  100.0
34.87  36.4
39.58  26.3

***

Record 4
For KAlO, the PBE geometry in the Materials Project gives the simulated powder diffractogram in this record (Cu Kα).
Intensities are scaled so that the largest is 100.

Atomic structure:
Lattice parameters (Å, degrees): 5.257 5.257 9.680 107.01 107.01 62.02
Element x y z (fractional)
K  0.141  0.611  0.124
K  0.228  0.772  0.500
K  0.611  0.141  0.624
K  0.772  0.228  0.000
Al  0.387  0.833  0.861
Al  0.537  0.986  0.258
Al  0.833  0.387  0.361
Al  0.986  0.537  0.758
O  0.144  0.173  0.798
O  0.173  0.144  0.298
O  0.485  0.925  0.059
O  0.925  0.485  0.559

Peak list (6 most intense, 2θ from 10° to 80°, low angle first)
two_theta  Rel. int.
32.30  73.9
33.07  41.9
33.47  41.9
34.14  100.0
47.77  16.5
57.91  18.1

***

Record 5
For K4Al2O, the PBE geometry in the Materials Project gives the simulated powder diffractogram in this record (Cu Kα).
Intensities are scaled so that the largest is 100.

Atomic structure:
Lattice parameters (Å, degrees): 9.120 9.120 9.120 60.00 60.00 60.00
Element x y z (fractional)
K  0.241  0.753  0.753
K  0.247  0.247  0.247
K  0.247  0.247  0.759
K  0.247  0.759  0.247
K  0.753  0.241  0.753
K  0.753  0.753  0.241
K  0.753  0.753  0.753
K  0.759  0.247  0.247
Al  0.000  0.500  0.500
Al  0.500  0.000  0.500
Al  0.500  0.500  0.000
Al  0.500  0.500  0.500
O  0.375  0.375  0.375
O  0.625  0.625  0.625

Peak list (6 most intense, 2θ from 10° to 80°, low angle first)
two_theta  Rel. int.
11.89  33.0
23.90  58.8
27.67  100.0
39.53  95.6
64.64  29.0
71.70  26.7

***

Record 6
For K2Al2O7, the PBE geometry in the Materials Project gives the simulated powder diffractogram in this record (Cu Kα).
Intensities are scaled so that the largest is 100.

Atomic structure:
Lattice parameters (Å, degrees): 8.015 6.769 6.769 76.02 90.00 90.00
Element x y z (fractional)
K  0.224  0.020  0.980
K  0.276  0.520  0.480
K  0.724  0.480  0.520
K  0.776  0.980  0.020
Al  0.008  0.465  0.077
Al  0.492  0.965  0.577
Al  0.508  0.577  0.965
Al  0.992  0.077  0.465
O  0.000  0.217  0.217
O  0.018  0.677  0.175
O  0.180  0.487  0.889
O  0.187  0.928  0.530
O  0.313  0.428  0.030
O  0.320  0.987  0.389
O  0.482  0.177  0.675
O  0.500  0.717  0.717
O  0.518  0.675  0.177
O  0.680  0.389  0.987
O  0.687  0.030  0.428
O  0.813  0.530  0.928
O  0.820  0.889  0.487
O  0.982  0.175  0.677

Peak list (6 most intense, 2θ from 10° to 80°, low angle first)
two_theta  Rel. int.
17.46  33.0
27.15  100.0
27.85  57.5
30.95  36.6
33.61  48.5
35.34  78.1

***

Record 7
For KAlO3, the PBE geometry in the Materials Project gives the simulated powder diffractogram in this record (Cu Kα).
Intensities are scaled so that the largest is 100.

Atomic structure:
Lattice parameters (Å, degrees): 3.867 3.867 3.867 90.00 90.00 90.00
Element x y z (fractional)
K  0.000  0.000  0.000
Al  0.500  0.500  0.500
O  0.000  0.500  0.500
O  0.500  0.000  0.500
O  0.500  0.500  0.000

Peak list (6 most intense, 2θ from 10° to 80°, low angle first)
two_theta  Rel. int.
32.75  100.0
40.40  52.6
47.00  84.2
58.46  36.3
68.65  44.1
78.16  15.6

***

Record 8
For KAl9O14, the PBE geometry in the Materials Project gives the simulated powder diffractogram in this record (Cu Kα).
Intensities are scaled so that the largest is 100.

Atomic structure:
Lattice parameters (Å, degrees): 8.278 7.757 9.790 90.00 121.73 90.00
Element x y z (fractional)
K  0.000  0.000  0.000
K  0.000  0.500  0.500
Al  0.174  0.002  0.671
Al  0.174  0.498  0.171
Al  0.176  0.189  0.407
Al  0.176  0.311  0.907
Al  0.229  0.666  0.878
Al  0.229  0.834  0.378
Al  0.434  0.177  0.278
Al  0.434  0.323  0.778
Al  0.500  0.000  0.000
Al  0.500  0.500  0.500
Al  0.566  0.677  0.222
Al  0.566  0.823  0.722
Al  0.771  0.166  0.622
Al  0.771  0.334  0.122
Al  0.824  0.689  0.093
Al  0.824  0.811  0.593
Al  0.826  0.502  0.829
Al  0.826  0.998  0.329
O  0.079  0.707  0.210
O  0.079  0.793  0.710
O  0.095  0.563  0.949
O  0.095  0.937  0.449
O  0.246  0.102  0.874
O  0.246  0.398  0.374
O  0.255  0.205  0.614
O  0.255  0.295  0.114
O  0.293  0.042  0.332
O  0.293  0.458  0.832
O  0.407  0.714  0.538
O  0.407  0.786  0.038
O  0.428  0.583  0.289
O  0.428  0.917  0.789
O  0.572  0.083  0.211
O  0.572  0.417  0.711
O  0.593  0.214  0.962
O  0.593  0.286  0.462
O  0.707  0.542  0.168
O  0.707  0.958  0.668
O  0.745  0.705  0.886
O  0.745  0.795  0.386
O  0.754  0.602  0.626
O  0.754  0.898  0.126
O  0.905  0.063  0.551
O  0.905  0.437  0.051
O  0.921  0.207  0.290
O  0.921  0.293  0.790

Peak list (6 most intense, 2θ from 10° to 80°, low angle first)
two_theta  Rel. int.
16.17  40.9
25.70  84.8
32.67  100.0
34.32  49.5
34.47  48.6
59.27  38.7